The following is a computed X-ray powder pattern of MgGaCu3Se4. It was derived from a structure optimized by DFT (PBE), using λ = 1.5418 Å (Cu Kα).
Intensities are scaled so that the largest is 100.

Structure:
```
data_MgGaCu3Se4
_chemical_formula_sum 'Mg1 Ga1 Cu3 Se4'
_cell_length_a 5.8285
_cell_length_b 5.8285
_cell_length_c 5.8285
_cell_angle_alpha 90.00
_cell_angle_beta 90.00
_cell_angle_gamma 90.00
_symmetry_space_group_name_H-M 'P -4 3 m'
_symmetry_Int_Tables_number 215
_symmetry_space_group_name_Hall 'P -4 2 3'
loop_
_atom_site_label
_atom_site_type_symbol
_atom_site_fract_x
_atom_site_fract_y
_atom_site_fract_z
_atom_site_occupancy
Mg1 Mg 0.0000 0.0000 0.0000 1
Ga1 Ga 0.5000 0.5000 0.5000 1
Cu1 Cu 0.0000 0.5000 0.5000 1
Se1 Se 0.2551 0.2551 0.7449 1
```

Most intense lines, 10 to 90 degrees two-theta, by angle:
d (Å), Rel. int., (hkl)
5.829, 30, 1 0 0
3.365, 88, 1 1 1
2.061, 100, 2 2 0
1.757, 39, 3 1 1
1.457, 16, 4 0 0
1.190, 31, 4 2 2

The following is a computed X-ray powder pattern of Mn2GaCu3. It was derived from a structure optimized by DFT (PBE), using λ = 1.5418 Å (Cu Kα).
Intensities are scaled so that the largest is 100.

Structure:
```
data_Mn2GaCu3
_chemical_formula_sum 'Mn4 Ga2 Cu6'
_cell_length_a 4.8982
_cell_length_b 4.8982
_cell_length_c 7.8736
_cell_angle_alpha 90.00
_cell_angle_beta 90.00
_cell_angle_gamma 120.00
_symmetry_space_group_name_H-M 'P 63/m m c'
_symmetry_Int_Tables_number 194
_symmetry_space_group_name_Hall '-P 6c 2c'
loop_
_atom_site_label
_atom_site_type_symbol
_atom_site_fract_x
_atom_site_fract_y
_atom_site_fract_z
_atom_site_occupancy
Mn1 Mn 0.3333 0.6667 0.0620 1
Ga1 Ga 0.0000 0.0000 0.0000 1
Cu1 Cu 0.1714 0.3428 0.7500 1
```

Most intense lines, 10 to 90 degrees two-theta, by angle:
d (Å), Rel. int., (hkl)
2.232, 59, 1 0 3
2.080, 100, 1 1 2
2.048, 90, 2 0 1
1.867, 27, 2 0 2
1.264, 25, 2 0 5
1.225, 24, 2 2 0

The following is a computed X-ray powder pattern of Mn2GaCu3. It was derived from a structure optimized by DFT (PBE), using λ = 1.5418 Å (Cu Kα).
Intensities are scaled so that the largest is 100.

Structure:
```
data_Mn2GaCu3
_chemical_formula_sum 'Mn6 Ga3 Cu9'
_cell_length_a 4.8644
_cell_length_b 4.8644
_cell_length_c 11.8819
_cell_angle_alpha 90.00
_cell_angle_beta 90.00
_cell_angle_gamma 120.00
_symmetry_space_group_name_H-M 'R -3 m'
_symmetry_Int_Tables_number 166
_symmetry_space_group_name_Hall '-R 3 2"'
loop_
_atom_site_label
_atom_site_type_symbol
_atom_site_fract_x
_atom_site_fract_y
_atom_site_fract_z
_atom_site_occupancy
Mn1 Mn 0.0000 0.0000 0.1251 1
Ga1 Ga 0.0000 0.0000 0.5000 1
Cu1 Cu 0.0000 0.5000 0.0000 1
```

Most intense lines, 10 to 90 degrees two-theta, by angle:
d (Å), Rel. int., (hkl)
3.969, 15, 1 0 1
2.430, 21, 1 1 0
2.072, 100, 1 1 3
1.985, 36, 2 0 2
1.323, 21, 3 0 3
1.216, 12, 2 2 0

The following is a computed X-ray powder pattern of MnGa2Cu3Se6. It was derived from a structure optimized by DFT (PBE), using λ = 1.5418 Å (Cu Kα).
Intensities are scaled so that the largest is 100.

Structure:
```
data_MnGa2Cu3Se6
_chemical_formula_sum 'Mn8 Ga16 Cu24 Se48'
_cell_length_a 8.0106
_cell_length_b 24.0214
_cell_length_c 11.2172
_cell_angle_alpha 90.00
_cell_angle_beta 90.00
_cell_angle_gamma 90.00
_symmetry_space_group_name_H-M 'F d d 2'
_symmetry_Int_Tables_number 43
_symmetry_space_group_name_Hall 'F 2 -2d'
loop_
_atom_site_label
_atom_site_type_symbol
_atom_site_fract_x
_atom_site_fract_y
_atom_site_fract_z
_atom_site_occupancy
Mn1 Mn 0.0000 0.0000 0.0000 1
Ga1 Ga 0.0021 0.3330 0.0001 1
Cu1 Cu 0.0000 0.0000 0.5012 1
Cu2 Cu 0.0014 0.1667 0.9995 1
Se1 Se 0.0034 0.0823 0.3747 1
Se2 Se 0.0033 0.2492 0.8754 1
Se3 Se 0.0030 0.4154 0.3749 1
```

Most intense lines, 10 to 90 degrees two-theta, by angle:
d (Å), Rel. int., (hkl)
3.259, 100, 2 0 2
2.002, 24, 4 0 0
1.993, 48, 2 6 4
1.706, 29, 4 6 2
1.694, 14, 2 0 6
1.154, 15, 6 6 4

The following is a computed X-ray powder pattern of MnGaCu2Se4. It was derived from a structure optimized by DFT (PBE), using λ = 1.5418 Å (Cu Kα).
Intensities are scaled so that the largest is 100.

Structure:
```
data_MnGaCu2Se4
_chemical_formula_sum 'Mn2 Ga2 Cu4 Se8'
_cell_length_a 5.6150
_cell_length_b 5.6150
_cell_length_c 11.3726
_cell_angle_alpha 90.00
_cell_angle_beta 90.00
_cell_angle_gamma 90.00
_symmetry_space_group_name_H-M 'I -4'
_symmetry_Int_Tables_number 82
loop_
_symmetry_equiv_pos_as_xyz
'x,y,z'
'y,-x,-z'
'-x,-y,z'
'-y,x,-z'
'x+1/2,y+1/2,z+1/2'
'y+1/2,-x+1/2,-z+1/2'
'-x+1/2,-y+1/2,z+1/2'
'-y+1/2,x+1/2,-z+1/2'
loop_
_atom_site_label
_atom_site_type_symbol
_atom_site_fract_x
_atom_site_fract_y
_atom_site_fract_z
_atom_site_occupancy
Mn1 Mn 0.0000 0.0000 0.0000 1
Ga1 Ga 0.0000 0.5000 0.2500 1
Cu1 Cu 0.0000 0.0000 0.5000 1
Cu2 Cu 0.0000 0.5000 0.7500 1
Se1 Se 0.2429 0.7517 0.6255 1
```

Most intense lines, 10 to 90 degrees two-theta, by angle:
d (Å), Rel. int., (hkl)
3.255, 100, 1 1 2
1.998, 49, 2 0 4
1.985, 24, 2 2 0
1.711, 15, 1 1 6
1.695, 28, 3 1 2
1.149, 15, 4 2 4

The following is a computed X-ray powder pattern of Ga40CuMo8. It was derived from a structure optimized by DFT (PBE), using λ = 1.5418 Å (Cu Kα).
Intensities are scaled so that the largest is 100.

Structure:
```
data_Ga40CuMo8
_chemical_formula_sum 'Ga120 Cu3 Mo24'
_cell_length_a 14.1124
_cell_length_b 14.1124
_cell_length_c 15.2150
_cell_angle_alpha 90.00
_cell_angle_beta 90.00
_cell_angle_gamma 120.00
_symmetry_space_group_name_H-M 'R -3'
_symmetry_Int_Tables_number 148
_symmetry_space_group_name_Hall '-R 3'
loop_
_atom_site_label
_atom_site_type_symbol
_atom_site_fract_x
_atom_site_fract_y
_atom_site_fract_z
_atom_site_occupancy
Ga1 Ga 0.0000 0.0000 0.0000 1
Ga2 Ga 0.0000 0.5000 0.5000 1
Ga3 Ga 0.0019 0.1851 0.2849 1
Ga4 Ga 0.0112 0.6935 0.2678 1
Ga5 Ga 0.0112 0.8848 0.1642 1
Ga6 Ga 0.0161 0.1632 0.6083 1
Ga7 Ga 0.0191 0.5353 0.1606 1
Ga8 Ga 0.0951 0.5359 0.6707 1
Cu1 Cu 0.0000 0.0000 0.5000 1
Mo1 Mo 0.0000 0.0000 0.3012 1
Mo2 Mo 0.0154 0.7094 0.0971 1
```

Most intense lines, 10 to 90 degrees two-theta, by angle:
d (Å), Rel. int., (hkl)
2.896, 49, 4 -2 3
2.361, 49, 1 4 3
2.257, 60, 5 -2 4
2.154, 53, 0 4 5
2.059, 100, 2 2 6
2.037, 72, 6 0 0

The following is a computed X-ray powder pattern of NbGaCu. It was derived from a structure optimized by DFT (PBE), using λ = 1.5418 Å (Cu Kα).
Intensities are scaled so that the largest is 100.

Structure:
```
data_NbGaCu
_chemical_formula_sum 'Nb8 Ga8 Cu8'
_cell_length_a 7.9283
_cell_length_b 5.0474
_cell_length_c 8.7665
_cell_angle_alpha 90.00
_cell_angle_beta 90.00
_cell_angle_gamma 90.00
_symmetry_space_group_name_H-M 'A m m 2'
_symmetry_Int_Tables_number 38
loop_
_symmetry_equiv_pos_as_xyz
'x,y,z'
'-x,-y,z'
'-x,y,z'
'x,-y,z'
'x,y+1/2,z+1/2'
'-x,-y+1/2,z+1/2'
'-x,y+1/2,z+1/2'
'x,-y+1/2,z+1/2'
loop_
_atom_site_label
_atom_site_type_symbol
_atom_site_fract_x
_atom_site_fract_y
_atom_site_fract_z
_atom_site_occupancy
Nb1 Nb 0.1818 0.0000 0.0000 1
Nb2 Nb 0.3149 0.0000 0.6682 1
Ga1 Ga 0.0000 0.0000 0.5049 1
Ga2 Ga 0.5000 0.0000 0.1629 1
Ga3 Ga 0.5000 0.2442 0.9195 1
Cu1 Cu 0.0000 0.2444 0.7482 1
Cu2 Cu 0.2488 0.0000 0.3329 1
```

Most intense lines, 10 to 90 degrees two-theta, by angle:
d (Å), Rel. int., (hkl)
2.527, 41, 0 2 0
2.262, 83, 3 1 1
2.131, 100, 2 1 3
2.110, 87, 1 2 2
1.284, 27, 5 2 2
1.265, 21, 0 2 6

The following is a computed X-ray powder pattern of NdGa3Cu. It was derived from a structure optimized by DFT (PBE), using λ = 1.5418 Å (Cu Kα).
Intensities are scaled so that the largest is 100.

Structure:
```
data_NdGa3Cu
_chemical_formula_sum 'Nd2 Ga6 Cu2'
_cell_length_a 4.1980
_cell_length_b 4.1980
_cell_length_c 10.6205
_cell_angle_alpha 90.00
_cell_angle_beta 90.00
_cell_angle_gamma 90.00
_symmetry_space_group_name_H-M 'I -4 m 2'
_symmetry_Int_Tables_number 119
_symmetry_space_group_name_Hall 'I -4 -2'
loop_
_atom_site_label
_atom_site_type_symbol
_atom_site_fract_x
_atom_site_fract_y
_atom_site_fract_z
_atom_site_occupancy
Nd1 Nd 0.0000 0.0000 0.0000 1
Ga1 Ga 0.0000 0.0000 0.3827 1
Ga2 Ga 0.0000 0.5000 0.2500 1
Cu1 Cu 0.0000 0.5000 0.7500 1
```

Most intense lines, 10 to 90 degrees two-theta, by angle:
d (Å), Rel. int., (hkl)
2.706, 67, 1 0 3
2.591, 100, 1 1 2
2.099, 56, 2 0 0
1.895, 32, 1 0 5
1.659, 30, 2 1 3
1.407, 23, 2 1 5

The following is a computed X-ray powder pattern of Nd2Ga5Cu3. It was derived from a structure optimized by DFT (PBE), using λ = 1.5418 Å (Cu Kα).
Intensities are scaled so that the largest is 100.

Structure:
```
data_Nd2Ga5Cu3
_chemical_formula_sum 'Nd2 Ga5 Cu3'
_cell_length_a 4.2405
_cell_length_b 4.2405
_cell_length_c 10.2229
_cell_angle_alpha 90.00
_cell_angle_beta 90.00
_cell_angle_gamma 90.00
_symmetry_space_group_name_H-M 'P -4 m 2'
_symmetry_Int_Tables_number 115
loop_
_symmetry_equiv_pos_as_xyz
'x,y,z'
'y,-x,-z'
'-x,-y,z'
'-y,x,-z'
'-x,y,z'
'-y,-x,-z'
'x,-y,z'
'y,x,-z'
loop_
_atom_site_label
_atom_site_type_symbol
_atom_site_fract_x
_atom_site_fract_y
_atom_site_fract_z
_atom_site_occupancy
Nd1 Nd 0.0000 0.5000 0.2452 1
Ga1 Ga 0.0000 0.0000 0.5000 1
Ga2 Ga 0.0000 0.5000 0.6354 1
Ga3 Ga 0.0000 0.5000 0.8796 1
Cu1 Cu 0.0000 0.0000 0.0000 1
Cu2 Cu 0.5000 0.5000 0.0000 1
Cu3 Cu 0.5000 0.5000 0.5000 1
```

Most intense lines, 10 to 90 degrees two-theta, by angle:
d (Å), Rel. int., (hkl)
2.656, 74, 1 0 3
2.586, 100, 1 1 2
2.120, 62, 2 0 0
1.842, 27, 1 0 5
1.657, 35, 2 1 3
1.297, 22, 3 1 2

The following is a computed X-ray powder pattern of Sr2NdGaCu2O7. It was derived from a structure optimized by DFT (PBE), using λ = 1.5418 Å (Cu Kα).
Intensities are scaled so that the largest is 100.

Structure:
```
data_Sr2NdGaCu2O7
_chemical_formula_sum 'Sr8 Nd4 Ga4 Cu8 O28'
_cell_length_a 23.2869
_cell_length_b 5.5892
_cell_length_c 5.4693
_cell_angle_alpha 90.00
_cell_angle_beta 90.00
_cell_angle_gamma 90.00
_symmetry_space_group_name_H-M 'I m a 2'
_symmetry_Int_Tables_number 46
loop_
_symmetry_equiv_pos_as_xyz
'x,y,z'
'-x,-y,z'
'-x+1/2,y,z'
'x+1/2,-y,z'
'x+1/2,y+1/2,z+1/2'
'-x+1/2,-y+1/2,z+1/2'
'-x,y+1/2,z+1/2'
'x,-y+1/2,z+1/2'
loop_
_atom_site_label
_atom_site_type_symbol
_atom_site_fract_x
_atom_site_fract_y
_atom_site_fract_z
_atom_site_occupancy
Sr1 Sr 0.1526 0.0191 0.0000 1
Nd1 Nd 0.0000 0.0000 0.0012 1
Ga1 Ga 0.2500 0.5708 0.9679 1
Cu1 Cu 0.0752 0.5013 0.0020 1
O1 O 0.0653 0.2482 0.2510 1
O2 O 0.0676 0.7504 0.2517 1
O3 O 0.1775 0.0468 0.5341 1
O4 O 0.2500 0.6199 0.6194 1
```

Most intense lines, 10 to 90 degrees two-theta, by angle:
d (Å), Rel. int., (hkl)
2.795, 27, 0 2 0
2.754, 100, 6 1 1
2.735, 29, 0 0 2
2.335, 20, 8 1 1
1.955, 30, 0 2 2
1.583, 27, 6 1 3

The following is a computed X-ray powder pattern of Sr2NdGaCu2O7. It was derived from a structure optimized by DFT (PBE), using λ = 1.5418 Å (Cu Kα).
Intensities are scaled so that the largest is 100.

Structure:
```
data_Sr2NdGaCu2O7
_chemical_formula_sum 'Sr4 Nd2 Ga2 Cu4 O14'
_cell_length_a 5.4842
_cell_length_b 5.6078
_cell_length_c 12.2225
_cell_angle_alpha 103.10
_cell_angle_beta 102.94
_cell_angle_gamma 90.05
_symmetry_space_group_name_H-M 'P 1'
_symmetry_Int_Tables_number 1
loop_
_symmetry_equiv_pos_as_xyz
'x,y,z'
loop_
_atom_site_label
_atom_site_type_symbol
_atom_site_fract_x
_atom_site_fract_y
_atom_site_fract_z
_atom_site_occupancy
Sr1 Sr 0.0000 0.0000 0.0000 1
Sr2 Sr 0.1792 0.1934 0.3877 1
Sr3 Sr 0.4986 0.4608 0.0004 1
Sr4 Sr 0.6845 0.6537 0.3892 1
Nd1 Nd 0.3450 0.3187 0.6951 1
Nd2 Nd 0.8458 0.8199 0.6960 1
Ga1 Ga 0.0667 0.6474 0.1963 1
Ga2 Ga 0.5647 0.0077 0.1908 1
Cu1 Cu 0.2649 0.7424 0.5411 1
Cu2 Cu 0.4283 0.9008 0.8520 1
Cu3 Cu 0.7683 0.2433 0.5475 1
Cu4 Cu 0.9244 0.3998 0.8450 1
O1 O 0.0206 0.5072 0.5659 1
O2 O 0.0292 0.0074 0.5589 1
O3 O 0.0650 0.4494 0.0538 1
O4 O 0.1548 0.1321 0.8256 1
O5 O 0.1724 0.6344 0.8320 1
O6 O 0.2024 0.6032 0.3425 1
O7 O 0.2230 0.9521 0.1952 1
O8 O 0.5223 0.4938 0.5633 1
O9 O 0.5337 0.9965 0.5619 1
O10 O 0.5518 0.0484 0.0437 1
O11 O 0.6619 0.1482 0.8268 1
O12 O 0.6731 0.6433 0.8318 1
O13 O 0.7104 0.2114 0.3301 1
O14 O 0.7210 0.7043 0.1945 1
```

Most intense lines, 10 to 90 degrees two-theta, by angle:
d (Å), Rel. int., (hkl)
2.804, 26, 0 2 -1
2.751, 100, 1 -1 3
2.742, 28, 2 0 -1
2.330, 19, -1 1 4
1.960, 29, 2 2 -2
1.585, 20, 3 1 1

The following is a computed X-ray powder pattern of GaCuO2. It was derived from a structure optimized by DFT (PBE), using λ = 1.5418 Å (Cu Kα).
Intensities are scaled so that the largest is 100.

Structure:
```
data_GaCuO2
_chemical_formula_sum 'Ga3 Cu3 O6'
_cell_length_a 3.0133
_cell_length_b 3.0133
_cell_length_c 17.3214
_cell_angle_alpha 90.00
_cell_angle_beta 90.00
_cell_angle_gamma 120.00
_symmetry_space_group_name_H-M 'R -3 m'
_symmetry_Int_Tables_number 166
_symmetry_space_group_name_Hall '-R 3 2"'
loop_
_atom_site_label
_atom_site_type_symbol
_atom_site_fract_x
_atom_site_fract_y
_atom_site_fract_z
_atom_site_occupancy
Ga1 Ga 0.0000 0.0000 0.0000 1
Cu1 Cu 0.0000 0.0000 0.5000 1
O1 O 0.0000 0.0000 0.3921 1
```

Most intense lines, 10 to 90 degrees two-theta, by angle:
d (Å), Rel. int., (hkl)
2.887, 33, 0 0 6
2.499, 100, 0 1 2
2.235, 41, 1 0 4
1.666, 32, 0 1 8
1.507, 25, 1 1 0
1.443, 25, 1 0 10